Record 1
Structure and simulated X-ray powder pattern of PrAs2Pd3 (a DFT-relaxed cell (PBE, the Materials Project); a wavelength of 1.5418 Å).
Lines closer than 0.1° are merged.

Top 10 peaks for 10 to 80 degrees two-theta, low angle first:
30.34 deg, I = 27; 33.53 deg, I = 16; 34.16 deg, I = 41; 34.29 deg, I = 100; 35.61 deg, I = 23; 38.79 deg, I = 30; 41.99 deg, I = 32; 42.46 deg, I = 18; 43.32 deg, I = 55; 43.44 deg, I = 23

Crystal structure
```
PrAs2Pd3
1.0
8.438 -2.089 0.000
8.438 2.089 0.000
-3.159 0.000 9.625
Pr As Pd
3 6 9
Cartesian
0.000 0.000 0.000 Pr
0.396 0.000 6.739 Pr
13.321 0.000 2.887 Pr
2.950 0.000 1.258 As
4.413 0.000 5.267 As
7.114 0.000 2.064 As
6.603 0.000 7.561 As
9.304 0.000 4.359 As
10.767 0.000 8.368 As
-0.325 0.000 3.201 Pd
2.482 0.000 3.765 Pd
5.299 0.000 0.310 Pd
3.831 0.000 7.699 Pd
6.858 0.000 4.813 Pd
9.885 0.000 1.926 Pd
8.418 0.000 9.316 Pd
11.235 0.000 5.860 Pd
14.042 0.000 6.425 Pd
```

Record 2
Structure and simulated X-ray powder pattern of LuMg2Mo3S8 (a DFT-relaxed cell (PBE, the Materials Project); a wavelength of 1.5418 Å).
Lines closer than 0.1° are merged.

Top 10 peaks for 10 to 80 degrees two-theta, low angle first:
14.40 deg, I = 100; 27.84 deg, I = 61; 28.08 deg, I = 30; 33.77 deg, I = 91; 36.71 deg, I = 14; 44.16 deg, I = 18; 44.32 deg, I = 22; 48.22 deg, I = 42; 48.80 deg, I = 39; 60.17 deg, I = 16

Crystal structure
```
LuMg2Mo3S8
1.0
3.774 2.179 6.062
-3.774 2.179 6.062
0.000 -4.358 6.062
Lu Mg Mo S
1 2 3 8
Cartesian
0.000 0.000 0.000 Lu
0.000 0.000 6.838 Mg
0.000 0.000 11.347 Mg
-3.774 0.000 9.093 Mo
-1.887 1.090 3.031 Mo
1.887 1.090 3.031 Mo
-1.988 -1.148 10.464 S
0.000 0.000 4.334 S
0.000 -2.296 7.721 S
-1.988 1.148 7.721 S
1.988 -1.148 10.464 S
0.000 2.296 10.464 S
0.000 0.000 13.851 S
1.988 1.148 7.721 S
```

Record 3
Structure and simulated X-ray powder pattern of ScCu2Si2 (a DFT-relaxed cell (PBE, the Materials Project); a wavelength of 1.5418 Å).
Lines closer than 0.1° are merged.

Top 10 peaks for 10 to 80 degrees two-theta, low angle first:
17.56 deg, I = 32; 35.55 deg, I = 31; 37.78 deg, I = 100; 47.62 deg, I = 39; 49.42 deg, I = 27; 51.15 deg, I = 18; 60.82 deg, I = 17; 65.32 deg, I = 12; 69.63 deg, I = 12; 72.47 deg, I = 9

Crystal structure
```
ScCu2Si2
1.0
-1.910 1.910 5.050
1.910 -1.910 5.050
1.910 1.910 -5.050
Sc Cu Si
1 2 2
Cartesian
0.000 0.000 0.000 Sc
1.910 0.000 2.525 Cu
0.000 1.910 2.525 Cu
0.000 0.000 3.909 Si
0.000 0.000 6.190 Si
```

Record 4
Structure and simulated X-ray powder pattern of Sr4Ir (a DFT-relaxed cell (PBE, the Materials Project); a wavelength of 1.5418 Å).
Lines closer than 0.1° are merged.

Top 10 peaks for 10 to 80 degrees two-theta, low angle first:
12.26 deg, I = 59; 20.08 deg, I = 69; 23.59 deg, I = 45; 24.66 deg, I = 100; 31.17 deg, I = 29; 35.15 deg, I = 34; 37.36 deg, I = 22; 40.81 deg, I = 92; 48.26 deg, I = 47; 74.30 deg, I = 31

Crystal structure
```
Sr4Ir
1.0
0.000 6.254 6.254
6.254 0.000 6.254
6.254 6.254 0.000
Sr Ir
8 2
Cartesian
9.415 6.220 6.220 Sr
3.093 3.093 3.093 Sr
6.288 6.288 3.093 Sr
6.288 3.093 6.288 Sr
6.220 9.415 6.220 Sr
6.220 6.220 9.415 Sr
9.415 9.415 9.415 Sr
3.093 6.288 6.288 Sr
4.690 4.690 4.690 Ir
7.817 7.817 7.817 Ir
```